(1)
Starting from a PBE-relaxed structure, the powder X-ray diffraction pattern of Pr4Cd3Pt was computed for copper Kα.
Kinematic intensities with the Lorentz-polarization factor, no thermal factor.

Crystal structure
a = 3.7994 Å, b = 3.7994 Å, c = 15.4400 Å
α = 90.00°, β = 90.00°, γ = 90.00°
Sites, in units of the cell vectors:
Pr (0.0000, 0.0000, 0.1088)
Pr (0.0000, 0.0000, 0.3704)
Pr (0.0000, 0.0000, 0.6296)
Pr (0.0000, 0.0000, 0.8912)
Cd (0.5000, 0.5000, 0.2440)
Cd (0.5000, 0.5000, 0.5000)
Cd (0.5000, 0.5000, 0.7560)
Pt (0.5000, 0.5000, 0.0000)

Top 10 peaks for 5° ≤ 2θ ≤ 70°, by angle:
2theta, d [Å], intensity
5.72, 15.440, 12.7
11.46, 7.720, 3.5
33.08, 2.708, 100.0
33.35, 2.687, 51.5
37.53, 2.396, 3.1
47.09, 1.930, 7.9
47.88, 1.900, 18.5
58.92, 1.567, 16.1
59.44, 1.555, 36.6
69.42, 1.354, 9.8

=====

(2)
Starting from a PBE-relaxed structure, the powder X-ray diffraction pattern of Nd2Ga3Cu2 was computed for copper Kα.
Kinematic intensities with the Lorentz-polarization factor, no thermal factor.

Crystal structure
a = 9.5457 Å, b = 9.5457 Å, c = 7.0327 Å
α = 90.00°, β = 90.00°, γ = 153.69°
Sites, in units of the cell vectors:
Nd (0.0564, 0.9436, 0.7500)
Nd (0.1611, 0.8389, 0.2500)
Nd (0.8389, 0.1611, 0.7500)
Nd (0.9436, 0.0564, 0.2500)
Ga (0.2242, 0.7758, 0.7500)
Ga (0.4384, 0.5616, 0.5709)
Ga (0.4384, 0.5616, 0.9291)
Ga (0.5616, 0.4384, 0.0709)
Ga (0.5616, 0.4384, 0.4291)
Ga (0.7758, 0.2242, 0.2500)
Cu (0.3120, 0.6880, 0.0656)
Cu (0.3120, 0.6880, 0.4344)
Cu (0.6880, 0.3120, 0.5656)
Cu (0.6880, 0.3120, 0.9344)

Top 10 peaks for 5° ≤ 2θ ≤ 70°, by angle:
2theta, d [Å], intensity
28.11, 3.174, 16.0
31.55, 2.835, 16.1
33.13, 2.704, 78.2
34.21, 2.621, 100.0
35.91, 2.501, 13.1
38.75, 2.324, 20.5
41.57, 2.172, 36.7
43.22, 2.093, 36.9
55.77, 1.648, 17.7
61.52, 1.507, 25.1

=====

(3)
Starting from a PBE-relaxed structure, the powder X-ray diffraction pattern of Zn3CdGa3 was computed for copper Kα.
Kinematic intensities with the Lorentz-polarization factor, no thermal factor.

Crystal structure
a = 7.8924 Å, b = 7.8924 Å, c = 4.8872 Å
α = 90.00°, β = 90.00°, γ = 120.00°
Sites, in units of the cell vectors:
Zn (0.0932, 0.5466, 0.2500)
Zn (0.4534, 0.5466, 0.2500)
Zn (0.4534, 0.9068, 0.2500)
Zn (0.5466, 0.0932, 0.7500)
Zn (0.5466, 0.4534, 0.7500)
Zn (0.9068, 0.4534, 0.7500)
Cd (0.3333, 0.6667, 0.7500)
Cd (0.6667, 0.3333, 0.2500)
Ga (0.1131, 0.2262, 0.2500)
Ga (0.1131, 0.8869, 0.2500)
Ga (0.2262, 0.1131, 0.7500)
Ga (0.7738, 0.8869, 0.2500)
Ga (0.8869, 0.1131, 0.7500)
Ga (0.8869, 0.7738, 0.7500)

Top 10 peaks for 5° ≤ 2θ ≤ 70°, by angle:
2theta, d [Å], intensity
22.53, 3.946, 17.5
31.96, 2.801, 77.8
34.72, 2.583, 49.6
36.78, 2.444, 60.6
39.45, 2.284, 26.8
43.84, 2.065, 100.0
46.00, 1.973, 9.0
51.48, 1.775, 31.3
51.72, 1.767, 29.0
63.23, 1.471, 10.3